Diffraction record for CeDy2HoEr4. The PXRD pattern is calculated, not measured: it uses the GGA-PBE geometry in Alexandria and Cu Kα (weighted mean of Kα1 and Kα2).
Peak positions follow from Bragg's law for the DFT cell and can differ from measured ones.

Atomic structure:
a b c (Å): 6.0763 6.0763 7.0578
angles (deg): 90.04 90.04 108.98
Element x y z (fractional)
Ce  0.0000  0.0000  0.0000
Dy  0.0000  0.0000  0.5000
Dy  0.5000  0.5000  0.5000
Ho  0.5000  0.5000  0.0000
Er  0.9997  0.5000  0.2481
Er  0.0003  0.5000  0.7519
Er  0.5000  0.9997  0.2481
Er  0.5000  0.0003  0.7519

Largest 10 diffraction maxima, by angle, 2θ from 15° to 90°:
31.13 deg, I 1000
35.99 deg, I 340
36.33 deg, I 166
51.81 deg, I 121
52.06 deg, I 238
61.69 deg, I 286
62.14 deg, I 140
64.92 deg, I 123
84.69 deg, I 60
85.09 deg, I 119

=====

Diffraction record for PaMn2Rh5. The PXRD pattern is calculated, not measured: it uses the GGA-PBE geometry in Alexandria and Cu Kα (weighted mean of Kα1 and Kα2).
Peak positions follow from Bragg's law for the DFT cell and can differ from measured ones.

Atomic structure:
a b c (Å): 7.8624 7.8624 7.8624
angles (deg): 149.71 149.71 43.36
Element x y z (fractional)
Pa  0.0000  0.0000  0.0000
Mn  0.2518  0.2518  0.0000
Mn  0.7482  0.7482  0.0000
Rh  0.1361  0.6361  0.5000
Rh  0.3639  0.8639  0.5000
Rh  0.5000  0.5000  0.0000
Rh  0.6361  0.1361  0.5000
Rh  0.8639  0.3639  0.5000

Largest 10 diffraction maxima, by angle, 2θ from 15° to 90°:
22.48 deg, I 79
33.19 deg, I 174
39.64 deg, I 1000
44.09 deg, I 383
49.93 deg, I 113
64.12 deg, I 123
68.78 deg, I 174
78.08 deg, I 266
85.41 deg, I 100
86.70 deg, I 76